Simulated powder diffraction line list
Compound: Na3Cr4F12
Radiation: CuKα
Structure: a structure optimized by DFT (GGA+U)
Peak positions follow from Bragg's law for the DFT cell and can differ from measured ones.

Crystal structure
```
data_Na3Cr4F12
_chemical_formula_sum 'Na3 Cr4 F12'
_symmetry_space_group_name_H-M 'P -1'
_symmetry_Int_Tables_number 2
_cell_length_a 6.9489
_cell_length_b 6.9539
_cell_length_c 6.9600
_cell_angle_alpha 109.09
_cell_angle_beta 109.18
_cell_angle_gamma 109.20
loop_
_symmetry_equiv_pos_as_xyz
'x,y,z'
'-x,-y,-z'
loop_
_atom_site_label
_atom_site_type_symbol
_atom_site_fract_x
_atom_site_fract_y
_atom_site_fract_z
Na1 Na 0.0000 0.0000 0.0000
Na2 Na 0.0000 0.5000 0.5000
Na3 Na 0.5000 0.0000 0.5000
Cr1 Cr 0.0000 0.0000 0.5000
Cr2 Cr 0.0000 0.5000 0.0000
Cr3 Cr 0.5000 0.0000 0.0000
Cr4 Cr 0.5000 0.5000 0.5000
F1 F 0.0033 0.7189 0.3211
F2 F 0.1791 0.9985 0.7823
F3 F 0.2022 0.4129 0.2225
F4 F 0.2784 0.7977 0.0872
F5 F 0.2835 0.1813 0.5006
F6 F 0.4132 0.7220 0.7032
```

The 10 most intense peaks (10° ≤ 2θ ≤ 90°), by angle:
2θ (°), I_rel, index
22.1, 100, -1 1 1
31.2, 47, 2 0 0
31.6, 45, 0 2 -2
35.3, 13, 2 -2 1
45.0, 40, -2 2 2
45.0, 20, 2 2 -2
50.9, 16, 1 3 -3
55.3, 14, 2 0 2
56.0, 19, 0 2 -4
56.2, 15, 2 2 -4



Simulated powder diffraction line list
Compound: Ac2NiAgO5
Radiation: CuKα
Structure: a structure optimized by DFT (GGA+U)
Peak positions follow from Bragg's law for the DFT cell and can differ from measured ones.

Crystal structure
```
data_Ac2NiAgO5
_chemical_formula_sum 'Ac4 Ni2 Ag2 O10'
_symmetry_space_group_name_H-M 'P 4/m b m'
_symmetry_Int_Tables_number 127
_symmetry_space_group_name_Hall '-P 4 2ab'
_cell_length_a 7.2199
_cell_length_b 7.2199
_cell_length_c 5.5817
_cell_angle_alpha 90.00
_cell_angle_beta 90.00
_cell_angle_gamma 90.00
loop_
_atom_site_label
_atom_site_type_symbol
_atom_site_fract_x
_atom_site_fract_y
_atom_site_fract_z
Ac1 Ac 0.1815 0.3185 0.0000
Ni1 Ni 0.0000 0.5000 0.5000
Ag1 Ag 0.0000 0.0000 0.5000
O1 O 0.0000 0.0000 0.0000
O2 O 0.1245 0.6245 0.2629
```

The 10 most intense peaks (10° ≤ 2θ ≤ 90°), by angle:
2θ (°), I_rel, index
15.9, 36, 0 0 1
27.6, 35, 2 1 0
29.5, 93, 2 0 1
32.0, 100, 0 0 2
35.2, 21, 2 2 0
42.8, 48, 2 1 2
48.3, 19, 2 2 2
55.0, 26, 4 1 1
57.1, 17, 2 1 3
62.6, 18, 4 1 2



Number 1 is which compound? Na3Cr4F12